No. 1
Simulated X-ray powder pattern
Compound: Ac4PmGe5
Radiation: copper Kα
Structure: DFT lattice parameters and positions (GGA-PBE)
No peak broadening, texture or thermal motion is included.

Structural model:
```
data_Ac4PmGe5
_chemical_formula_sum 'Ac8 Pm2 Ge10'
_space_group_name_H-M_alt 'I 4/m'
_space_group_IT_number 87
_space_group_name_Hall '-I 4'
_cell_length_a 10.138
_cell_length_b 10.138
_cell_length_c 6.394
_cell_angle_alpha 90.00
_cell_angle_beta 90.00
_cell_angle_gamma 90.00
loop_
_atom_site_label
_atom_site_type_symbol
_atom_site_fract_x
_atom_site_fract_y
_atom_site_fract_z
Ac1 Ac 0.096 0.700 0.000
Pm1 Pm 0.000 0.000 0.500
Ge1 Ge 0.000 0.000 0.000
Ge2 Ge 0.094 0.718 0.500
```

Principal peaks in the range 10 to 90 degrees two-theta, by angle:
| index | 2θ/deg | I/Imax |
| --- | --- | --- |
| 1 2 1 | 24.1 | 42 |
| 0 0 2 | 27.9 | 100 |
| 3 1 2 | 39.8 | 77 |
| 5 0 1 | 47.0 | 15 |
| 2 4 2 | 49.3 | 28 |
| 6 2 2 | 65.1 | 23 |
| 3 1 4 | 65.2 | 12 |
| 5 5 2 | 72.2 | 17 |

No. 2
Simulated X-ray powder pattern
Compound: YSnF7
Radiation: copper Kα
Structure: DFT lattice parameters and positions (GGA-PBE)
No peak broadening, texture or thermal motion is included.

Structural model:
```
data_YSnF7
_chemical_formula_sum 'Y2 Sn2 F14'
_space_group_name_H-M_alt 'P 1 21 1'
_space_group_IT_number 4
_cell_length_a 6.038
_cell_length_b 5.801
_cell_length_c 8.270
_cell_angle_alpha 90.00
_cell_angle_beta 103.32
_cell_angle_gamma 90.00
loop_
_space_group_symop_operation_xyz
'x,y,z'
'-x,y+1/2,-z'
loop_
_atom_site_label
_atom_site_type_symbol
_atom_site_fract_x
_atom_site_fract_y
_atom_site_fract_z
Y1 Y 0.154 0.000 0.190
Sn1 Sn 0.316 0.004 0.726
F1 F 0.016 0.732 0.007
F2 F 0.074 0.761 0.702
F3 F 0.092 0.264 0.703
F4 F 0.275 0.001 0.481
F5 F 0.371 0.004 0.973
F6 F 0.436 0.737 0.262
F7 F 0.440 0.263 0.258
```

Principal peaks in the range 10 to 90 degrees two-theta, by angle:
| index | 2θ/deg | I/Imax |
| --- | --- | --- |
| 1 1 0 | 21.5 | 100 |
| 0 0 2 | 22.1 | 38 |
| 1 1 -1 | 22.6 | 17 |
| 1 1 1 | 25.8 | 15 |
| 1 1 -2 | 28.4 | 24 |
| 2 2 -1 | 43.5 | 18 |
| 3 1 -1 | 47.8 | 22 |
| 2 2 -3 | 51.3 | 14 |

No. 3
Simulated X-ray powder pattern
Compound: K3Pm3YSe8
Radiation: copper Kα
Structure: DFT lattice parameters and positions (GGA-PBE)
No peak broadening, texture or thermal motion is included.

Structural model:
```
data_K3Pm3YSe8
_chemical_formula_sum 'K9 Pm9 Y3 Se24'
_space_group_name_H-M_alt 'R -3 m'
_space_group_IT_number 166
_space_group_name_Hall '-R 3 2"'
_cell_length_a 8.5109
_cell_length_b 8.5109
_cell_length_c 23.5261
_cell_angle_alpha 90.00
_cell_angle_beta 90.00
_cell_angle_gamma 120.00
loop_
_atom_site_label
_atom_site_type_symbol
_atom_site_fract_x
_atom_site_fract_y
_atom_site_fract_z
K1 K 0.0000 0.5000 0.0000
Pm1 Pm 0.0000 0.5000 0.5000
Y1 Y 0.0000 0.0000 0.5000
Se1 Se 0.0000 0.0000 0.2368
Se2 Se 0.0060 0.5030 0.2346
```

Principal peaks in the range 10 to 90 degrees two-theta, by angle:
| index | 2θ/deg | I/Imax |
| --- | --- | --- |
| 0 0 3 | 11.3 | 62 |
| 0 2 4 | 28.6 | 100 |
| 0 2 7 | 36.2 | 22 |
| 2 0 8 | 39.2 | 34 |
| 2 2 0 | 42.5 | 36 |
| 2 2 3 | 44.1 | 14 |
| 4 0 4 | 52.0 | 18 |
| 2 4 4 | 69.3 | 15 |

No. 4
Simulated X-ray powder pattern
Compound: HoTm5Sc2
Radiation: copper Kα
Structure: DFT lattice parameters and positions (GGA-PBE)
No peak broadening, texture or thermal motion is included.

Structural model:
```
data_HoTm5Sc2
_chemical_formula_sum 'Ho2 Tm10 Sc4'
_space_group_name_H-M_alt 'P b a m'
_space_group_IT_number 55
_cell_length_a 6.871
_cell_length_b 13.746
_cell_length_c 4.849
_cell_angle_alpha 90.00
_cell_angle_beta 90.00
_cell_angle_gamma 90.00
loop_
_space_group_symop_operation_xyz
'x,y,z'
'-x,-y,-z'
'-x,-y,z'
'x,y,-z'
'x+1/2,-y+1/2,-z'
'-x+1/2,y+1/2,z'
'-x+1/2,y+1/2,-z'
'x+1/2,-y+1/2,z'
loop_
_atom_site_label
_atom_site_type_symbol
_atom_site_fract_x
_atom_site_fract_y
_atom_site_fract_z
Ho1 Ho 0.000 0.000 0.000
Tm1 Tm 0.000 0.500 0.000
Tm2 Tm 0.002 0.250 0.000
Tm3 Tm 0.249 0.625 0.500
Sc1 Sc 0.249 0.875 0.500
```

Principal peaks in the range 10 to 90 degrees two-theta, by angle:
| index | 2θ/deg | I/Imax |
| --- | --- | --- |
| 1 2 0 | 18.3 | 14 |
| 1 2 1 | 25.9 | 12 |
| 2 0 1 | 31.9 | 100 |
| 2 4 0 | 37.0 | 50 |
| 4 0 0 | 53.4 | 35 |
| 4 4 1 | 63.5 | 28 |
| 2 0 3 | 63.6 | 14 |
| 4 0 2 | 66.7 | 12 |

Please write out number 3 again, unchanged.
Simulated X-ray powder pattern
Compound: K3Pm3YSe8
Radiation: copper Kα
Structure: DFT lattice parameters and positions (GGA-PBE)
No peak broadening, texture or thermal motion is included.

Structural model:
```
data_K3Pm3YSe8
_chemical_formula_sum 'K9 Pm9 Y3 Se24'
_space_group_name_H-M_alt 'R -3 m'
_space_group_IT_number 166
_space_group_name_Hall '-R 3 2"'
_cell_length_a 8.5109
_cell_length_b 8.5109
_cell_length_c 23.5261
_cell_angle_alpha 90.00
_cell_angle_beta 90.00
_cell_angle_gamma 120.00
loop_
_atom_site_label
_atom_site_type_symbol
_atom_site_fract_x
_atom_site_fract_y
_atom_site_fract_z
K1 K 0.0000 0.5000 0.0000
Pm1 Pm 0.0000 0.5000 0.5000
Y1 Y 0.0000 0.0000 0.5000
Se1 Se 0.0000 0.0000 0.2368
Se2 Se 0.0060 0.5030 0.2346
```

Principal peaks in the range 10 to 90 degrees two-theta, by angle:
| index | 2θ/deg | I/Imax |
| --- | --- | --- |
| 0 0 3 | 11.3 | 62 |
| 0 2 4 | 28.6 | 100 |
| 0 2 7 | 36.2 | 22 |
| 2 0 8 | 39.2 | 34 |
| 2 2 0 | 42.5 | 36 |
| 2 2 3 | 44.1 | 14 |
| 4 0 4 | 52.0 | 18 |
| 2 4 4 | 69.3 | 15 |

> What is the formula in the fourth record?

HoTm5Sc2